(1)
For Y3HPb, the PBE geometry in Alexandria gives the computed X-ray diffraction stick pattern in this record (λ = 1.5418 Å (Cu Kα)).
Lines closer than 0.1° are merged.

Largest 12 diffraction maxima, in order of rising 2θ, 2θ = 5–70°:
21.2°, intensity 33
26.2°, intensity 30
31.3°, intensity 76
31.6°, intensity 53
31.9°, intensity 100
32.2°, intensity 97
32.4°, intensity 44
33.1°, intensity 28
33.7°, intensity 88
36.7°, intensity 32
47.5°, intensity 30
62.1°, intensity 26

Cell and atoms:
a b c (Å): 5.312 6.759 7.006
angles (deg): 76.09 89.60 89.35
Fractional coordinates of all 10 atoms:
Y (0.247, 0.127, 0.245)
Y (0.247, 0.657, 0.079)
Y (0.250, 0.623, 0.594)
Y (0.750, 0.377, 0.406)
Y (0.753, 0.343, 0.921)
Y (0.753, 0.873, 0.755)
H (0.497, 0.385, 0.158)
H (0.503, 0.615, 0.842)
Pb (0.248, 0.133, 0.726)
Pb (0.752, 0.867, 0.274)


(2)
For LiBe2Au9, the PBE geometry in Alexandria gives the computed X-ray diffraction stick pattern in this record (λ = 1.5418 Å (Cu Kα)).
Lines closer than 0.1° are merged.

Largest 12 diffraction maxima, in order of rising 2θ, 2θ = 5–70°:
15.2°, intensity 13
16.0°, intensity 18
22.1°, intensity 41
32.2°, intensity 25
36.2°, intensity 31
36.6°, intensity 100
42.8°, intensity 83
43.5°, intensity 40
46.6°, intensity 15
49.2°, intensity 11
65.3°, intensity 14
69.7°, intensity 17

Cell and atoms:
a b c (Å): 8.571 8.571 8.571
angles (deg): 99.25 99.25 132.73
Fractional coordinates of all 24 atoms:
Li (0.375, 0.625, 0.750)
Li (0.625, 0.375, 0.250)
Be (0.000, 0.000, 0.000)
Be (0.000, 0.000, 0.500)
Be (0.000, 0.500, 0.000)
Be (0.500, 0.000, 0.500)
Au (0.094, 0.541, 0.304)
Au (0.094, 0.791, 0.553)
Au (0.125, 0.875, 0.250)
Au (0.209, 0.262, 0.304)
Au (0.209, 0.906, 0.947)
Au (0.262, 0.209, 0.804)
Au (0.262, 0.459, 0.053)
Au (0.459, 0.262, 0.553)
Au (0.459, 0.906, 0.196)
Au (0.541, 0.094, 0.804)
Au (0.541, 0.738, 0.447)
Au (0.738, 0.541, 0.947)
Au (0.738, 0.791, 0.196)
Au (0.791, 0.094, 0.053)
Au (0.791, 0.738, 0.696)
Au (0.875, 0.125, 0.750)
Au (0.906, 0.209, 0.447)
Au (0.906, 0.459, 0.696)


(3)
For Er2Si4CN6, the PBE geometry in Alexandria gives the computed X-ray diffraction stick pattern in this record (λ = 1.5418 Å (Cu Kα)).
Lines closer than 0.1° are merged.

Largest 12 diffraction maxima, in order of rising 2θ, 2θ = 5–70°:
17.2°, intensity 19
19.4°, intensity 30
19.5°, intensity 13
30.0°, intensity 21
30.1°, intensity 42
32.1°, intensity 100
35.0°, intensity 17
35.2°, intensity 28
36.0°, intensity 25
44.5°, intensity 16
54.5°, intensity 14
54.8°, intensity 18

Cell and atoms:
a b c (Å): 5.926 9.971 11.886
angles (deg): 90.00 119.65 90.00
Fractional coordinates of all 52 atoms:
Er (0.154, 0.088, 0.416)
Er (0.154, 0.412, 0.916)
Er (0.173, 0.070, 0.907)
Er (0.173, 0.430, 0.407)
Er (0.827, 0.570, 0.593)
Er (0.827, 0.930, 0.093)
Er (0.846, 0.588, 0.084)
Er (0.846, 0.912, 0.584)
Si (0.179, 0.226, 0.659)
Si (0.179, 0.274, 0.159)
Si (0.297, 0.704, 0.823)
Si (0.297, 0.796, 0.323)
Si (0.335, 0.713, 0.580)
Si (0.335, 0.787, 0.080)
Si (0.498, 0.521, 0.251)
Si (0.498, 0.979, 0.751)
Si (0.502, 0.021, 0.249)
Si (0.502, 0.479, 0.749)
Si (0.665, 0.213, 0.920)
Si (0.665, 0.287, 0.420)
Si (0.703, 0.204, 0.677)
Si (0.703, 0.296, 0.177)
Si (0.821, 0.726, 0.841)
Si (0.821, 0.774, 0.341)
C (0.476, 0.709, 0.248)
C (0.476, 0.791, 0.748)
C (0.524, 0.209, 0.252)
C (0.524, 0.291, 0.752)
N (0.006, 0.213, 0.000)
N (0.006, 0.287, 0.500)
N (0.022, 0.239, 0.247)
N (0.022, 0.261, 0.747)
N (0.203, 0.052, 0.636)
N (0.203, 0.448, 0.136)
N (0.251, 0.535, 0.775)
N (0.251, 0.965, 0.275)
N (0.439, 0.545, 0.599)
N (0.439, 0.955, 0.099)
N (0.461, 0.711, 0.991)
N (0.461, 0.789, 0.491)
N (0.539, 0.211, 0.509)
N (0.539, 0.289, 0.009)
N (0.561, 0.045, 0.901)
N (0.561, 0.455, 0.401)
N (0.749, 0.035, 0.725)
N (0.749, 0.465, 0.225)
N (0.797, 0.552, 0.864)
N (0.797, 0.948, 0.364)
N (0.978, 0.739, 0.253)
N (0.978, 0.761, 0.753)
N (0.994, 0.713, 0.500)
N (0.994, 0.787, 0.000)